Structure and computed XRD peak list of LaMgS3 (a crystal structure in the Materials Project, relaxed with PBE; Cu Kα (λ = 1.5418 Å)).
Kinematic intensities with the Lorentz-polarization factor, no thermal factor.

The 10 most intense peaks (10° ≤ 2θ ≤ 90°), low angle first:
2θ (°)  d/Å  intensity
15.33  5.779  85
16.21  5.466  100
23.97  3.712  28
27.23  3.275  54
29.19  3.059  29
32.59  2.748  35
32.93  2.720  43
34.53  2.597  35
39.97  2.256  24
43.23  2.093  31

Crystal structure
abc: 7.030 7.030 6.847
angles: 104.33 104.33 110.58
Element x y z (fractional)
La (0.210, 0.210, 0.265)
La (0.790, 0.790, 0.735)
Mg (0.341, 0.659, 0.000)
Mg (0.659, 0.341, 0.000)
S (0.068, 0.757, 0.139)
S (0.243, 0.932, 0.861)
S (0.430, 0.430, 0.723)
S (0.570, 0.570, 0.277)
S (0.757, 0.068, 0.139)
S (0.932, 0.243, 0.861)

Structure and computed XRD peak list of KHf2BiO6 (a crystal structure in the Materials Project, relaxed with PBE; Cu Kα (λ = 1.5418 Å)).
Kinematic intensities with the Lorentz-polarization factor, no thermal factor.

The 10 most intense peaks (10° ≤ 2θ ≤ 90°), low angle first:
2θ (°)  d/Å  intensity
18.60  4.770  18
21.51  4.131  7
30.60  2.921  100
36.05  2.491  11
43.83  2.066  28
54.40  1.687  41
63.71  1.461  18
72.33  1.306  18
80.55  1.193  6
88.57  1.104  22

Crystal structure
abc: 5.842 5.842 5.842
angles: 60.00 60.00 60.00
Element x y z (fractional)
K (0.000, 0.000, 0.000)
Hf (0.250, 0.250, 0.250)
Hf (0.750, 0.750, 0.750)
Bi (0.500, 0.500, 0.500)
O (0.000, 0.000, 0.500)
O (0.000, 0.500, 0.000)
O (0.000, 0.500, 0.500)
O (0.500, 0.000, 0.000)
O (0.500, 0.000, 0.500)
O (0.500, 0.500, 0.000)

Structure and computed XRD peak list of Cs2RbIrF6 (a crystal structure in the Materials Project, relaxed with PBE; Cu Kα (λ = 1.5418 Å)).
Kinematic intensities with the Lorentz-polarization factor, no thermal factor.

The 10 most intense peaks (10° ≤ 2θ ≤ 90°), low angle first:
2θ (°)  d/Å  intensity
16.25  5.456  14
26.68  3.341  100
31.40  2.849  5
38.09  2.362  32
47.12  1.929  41
54.97  1.670  20
62.13  1.494  21
68.84  1.364  6
75.25  1.263  23
87.62  1.114  11

Crystal structure
abc: 6.682 6.682 6.682
angles: 60.00 60.00 60.00
Element x y z (fractional)
Cs (0.250, 0.250, 0.250)
Cs (0.750, 0.750, 0.750)
Rb (0.000, 0.000, 0.000)
Ir (0.500, 0.500, 0.500)
F (0.284, 0.284, 0.716)
F (0.284, 0.716, 0.284)
F (0.284, 0.716, 0.716)
F (0.716, 0.284, 0.284)
F (0.716, 0.284, 0.716)
F (0.716, 0.716, 0.284)